Record 1
Ba2Sr2Y2Cu6O13: simulated powder X-ray diffraction pattern (Cu Kα (weighted mean of Kα1 and Kα2)), based on a structure optimized by DFT (GGA-PBE).
Peak positions follow from Bragg's law for the DFT cell and can differ from measured ones.

```
data_Ba2Sr2Y2Cu6O13
_chemical_formula_sum 'Ba8 Sr8 Y8 Cu24 O52'
_space_group_name_H-M_alt 'F m m 2'
_space_group_IT_number 42
_space_group_name_Hall 'F 2 -2'
_cell_length_a 7.648
_cell_length_b 7.805
_cell_length_c 23.622
_cell_angle_alpha 90.00
_cell_angle_beta 90.00
_cell_angle_gamma 90.00
loop_
_atom_site_label
_atom_site_type_symbol
_atom_site_fract_x
_atom_site_fract_y
_atom_site_fract_z
_atom_site_occupancy
Ba1 Ba 0.244 0.000 0.000 1
Sr1 Sr 0.244 0.000 0.807 1
Y1 Y 0.250 0.000 0.158 1
Cu1 Cu 0.000 0.242 0.901 1
Cu2 Cu 0.000 0.248 0.228 1
Cu3 Cu 0.000 0.249 0.590 1
O1 O 0.000 0.000 0.094 1
O2 O 0.000 0.000 0.217 1
O3 O 0.000 0.000 0.597 1
O4 O 0.000 0.000 0.723 1
O5 O 0.000 0.000 0.891 1
O6 O 0.000 0.215 0.325 1
O7 O 0.000 0.233 0.478 1
O8 O 0.250 0.250 0.097 1
O9 O 0.250 0.250 0.219 1
```

Top 6 peaks for 10° ≤ 2θ ≤ 80°, in order of falling intensity:
- 2.731 Å, I = 1000, hkl 2 2 0
- 2.743 Å, I = 906, hkl 2 0 6
- 2.772 Å, I = 879, hkl 0 2 6
- 1.590 Å, I = 346, hkl 2 4 6
- 1.574 Å, I = 309, hkl 4 2 6
- 1.951 Å, I = 303, hkl 0 4 0



Record 2
Ba3SrY8Cu4O20: simulated powder X-ray diffraction pattern (Cu Kα (weighted mean of Kα1 and Kα2)), based on a structure optimized by DFT (GGA-PBE).
Peak positions follow from Bragg's law for the DFT cell and can differ from measured ones.

```
data_Ba3SrY8Cu4O20
_chemical_formula_sum 'Ba3 Sr1 Y8 Cu4 O20'
_space_group_name_H-M_alt 'P 1 m 1'
_space_group_IT_number 6
_space_group_name_Hall 'P -2y'
_cell_length_a 7.247
_cell_length_b 5.699
_cell_length_c 12.235
_cell_angle_alpha 90.00
_cell_angle_beta 90.10
_cell_angle_gamma 90.00
loop_
_atom_site_label
_atom_site_type_symbol
_atom_site_fract_x
_atom_site_fract_y
_atom_site_fract_z
_atom_site_occupancy
Ba1 Ba 0.000 0.000 0.000 1
Ba2 Ba 0.135 0.500 0.809 1
Ba3 Ba 0.634 0.000 0.499 1
Sr1 Sr 0.491 0.500 0.312 1
Y1 Y 0.173 0.000 0.330 1
Y2 Y 0.179 0.000 0.616 1
Y3 Y 0.456 0.000 0.119 1
Y4 Y 0.463 0.000 0.830 1
Y5 Y 0.670 0.500 0.979 1
Y6 Y 0.679 0.500 0.690 1
Y7 Y 0.953 0.500 0.192 1
Y8 Y 0.961 0.500 0.477 1
Cu1 Cu 0.288 0.500 0.067 1
Cu2 Cu 0.348 0.500 0.564 1
Cu3 Cu 0.785 0.000 0.245 1
Cu4 Cu 0.848 0.000 0.743 1
O1 O 0.150 0.000 0.804 1
O2 O 0.217 0.257 0.179 1
O3 O 0.230 0.257 0.471 1
O4 O 0.404 0.256 0.973 1
O5 O 0.421 0.254 0.675 1
O6 O 0.486 0.000 0.306 1
O7 O 0.645 0.500 0.497 1
O8 O 0.711 0.248 0.134 1
O9 O 0.729 0.244 0.836 1
O10 O 0.907 0.243 0.336 1
O11 O 0.920 0.246 0.631 1
O12 O 0.983 0.500 0.005 1
```

Top 6 peaks for 10° ≤ 2θ ≤ 80°, in order of falling intensity:
- 3.016 Å, I = 1000, hkl 1 1 3
- 2.967 Å, I = 636, hkl 2 1 -1
- 2.850 Å, I = 471, hkl 0 2 0
- 2.004 Å, I = 352, hkl 1 2 -4
- 2.818 Å, I = 204, hkl 1 0 -4
- 2.247 Å, I = 203, hkl 3 0 2



Record 3
BaSrYCu4O8: simulated powder X-ray diffraction pattern (Cu Kα (weighted mean of Kα1 and Kα2)), based on a structure optimized by DFT (GGA-PBE).
Peak positions follow from Bragg's law for the DFT cell and can differ from measured ones.

```
data_BaSrYCu4O8
_chemical_formula_sum 'Ba2 Sr2 Y2 Cu8 O16'
_space_group_name_H-M_alt 'A m m 2'
_space_group_IT_number 38
_space_group_name_Hall 'A 2 -2'
_cell_length_a 3.822
_cell_length_b 3.883
_cell_length_c 27.317
_cell_angle_alpha 90.00
_cell_angle_beta 90.00
_cell_angle_gamma 90.00
loop_
_atom_site_label
_atom_site_type_symbol
_atom_site_fract_x
_atom_site_fract_y
_atom_site_fract_z
_atom_site_occupancy
Ba1 Ba 0.000 0.000 0.000 1
Sr1 Sr 0.000 0.000 0.272 1
Y1 Y 0.000 0.000 0.139 1
Cu1 Cu 0.500 0.000 0.421 1
Cu2 Cu 0.500 0.000 0.576 1
Cu3 Cu 0.500 0.000 0.702 1
Cu4 Cu 0.500 0.000 0.848 1
O1 O 0.000 0.000 0.586 1
O2 O 0.000 0.000 0.692 1
O3 O 0.500 0.000 0.086 1
O4 O 0.500 0.000 0.192 1
O5 O 0.500 0.000 0.351 1
O6 O 0.500 0.000 0.489 1
O7 O 0.500 0.000 0.780 1
O8 O 0.500 0.000 0.917 1
```

Top 6 peaks for 10° ≤ 2θ ≤ 80°, in order of falling intensity:
- 2.753 Å, I = 1000, hkl 0 1 7
- 2.711 Å, I = 916, hkl 1 1 1
- 2.547 Å, I = 614, hkl 1 0 8
- 2.927 Å, I = 419, hkl 1 0 6
- 1.570 Å, I = 363, hkl 2 1 7
- 1.942 Å, I = 354, hkl 0 2 0



Record 4
BaSrY4Cu2O10: simulated powder X-ray diffraction pattern (Cu Kα (weighted mean of Kα1 and Kα2)), based on a structure optimized by DFT (GGA-PBE).
Peak positions follow from Bragg's law for the DFT cell and can differ from measured ones.

```
data_BaSrY4Cu2O10
_chemical_formula_sum 'Ba2 Sr2 Y8 Cu4 O20'
_space_group_name_H-M_alt 'P m c 21'
_space_group_IT_number 26
_space_group_name_Hall 'P 2c -2'
_cell_length_a 5.683
_cell_length_b 7.231
_cell_length_c 12.188
_cell_angle_alpha 90.00
_cell_angle_beta 90.00
_cell_angle_gamma 90.00
loop_
_atom_site_label
_atom_site_type_symbol
_atom_site_fract_x
_atom_site_fract_y
_atom_site_fract_z
_atom_site_occupancy
Ba1 Ba 0.000 0.183 0.000 1
Sr1 Sr 0.500 0.328 0.186 1
Y1 Y 0.000 0.355 0.669 1
Y2 Y 0.000 0.362 0.381 1
Y3 Y 0.500 0.136 0.808 1
Y4 Y 0.500 0.145 0.521 1
Cu1 Cu 0.000 0.032 0.255 1
Cu2 Cu 0.500 0.470 0.933 1
O1 O 0.000 0.330 0.193 1
O2 O 0.243 0.089 0.663 1
O3 O 0.248 0.105 0.366 1
O4 O 0.257 0.400 0.820 1
O5 O 0.257 0.415 0.528 1
O6 O 0.500 0.172 0.001 1
```

Top 6 peaks for 10° ≤ 2θ ≤ 80°, in order of falling intensity:
- 3.006 Å, I = 1000, hkl 1 1 3
- 2.959 Å, I = 665, hkl 1 2 1
- 2.842 Å, I = 485, hkl 2 0 0
- 1.997 Å, I = 387, hkl 2 1 4
- 2.808 Å, I = 220, hkl 0 1 4
- 2.241 Å, I = 202, hkl 0 3 2



Record 5
BaTa3Cu4O12: simulated powder X-ray diffraction pattern (Cu Kα (weighted mean of Kα1 and Kα2)), based on a structure optimized by DFT (GGA-PBE).
Peak positions follow from Bragg's law for the DFT cell and can differ from measured ones.

```
data_BaTa3Cu4O12
_chemical_formula_sum 'Ba3 Ta9 Cu12 O36'
_space_group_name_H-M_alt 'R 3 2'
_space_group_IT_number 155
_space_group_name_Hall 'R 3 2"'
_cell_length_a 11.0348
_cell_length_b 11.0348
_cell_length_c 7.9266
_cell_angle_alpha 90.00
_cell_angle_beta 90.00
_cell_angle_gamma 120.00
loop_
_atom_site_label
_atom_site_type_symbol
_atom_site_fract_x
_atom_site_fract_y
_atom_site_fract_z
_atom_site_occupancy
Ba1 Ba 0.0000 0.0000 0.0000 1
Ta1 Ta 0.0000 0.5629 0.0000 1
Cu1 Cu 0.0000 0.0000 0.5000 1
Cu2 Cu 0.0000 0.4265 0.5000 1
O1 O 0.0000 0.6016 0.5000 1
O2 O 0.0000 0.8262 0.5000 1
O3 O 0.0590 0.2167 0.2148 1
```

Top 6 peaks for 10° ≤ 2θ ≤ 80°, in order of falling intensity:
- 3.050 Å, I = 1000, hkl 2 0 2
- 2.514 Å, I = 418, hkl 1 3 1
- 3.287 Å, I = 407, hkl 2 1 1
- 4.092 Å, I = 384, hkl 0 2 1
- 2.759 Å, I = 256, hkl 2 2 0
- 5.517 Å, I = 255, hkl 1 1 0



Record 6
BaTbCuO3: simulated powder X-ray diffraction pattern (Cu Kα (weighted mean of Kα1 and Kα2)), based on a structure optimized by DFT (GGA-PBE).
Peak positions follow from Bragg's law for the DFT cell and can differ from measured ones.

```
data_BaTbCuO3
_chemical_formula_sum 'Ba4 Tb4 Cu4 O12'
_space_group_name_H-M_alt 'C m c m'
_space_group_IT_number 63
_space_group_name_Hall '-C 2c 2'
_cell_length_a 3.764
_cell_length_b 13.404
_cell_length_c 8.473
_cell_angle_alpha 90.00
_cell_angle_beta 90.00
_cell_angle_gamma 90.00
loop_
_atom_site_label
_atom_site_type_symbol
_atom_site_fract_x
_atom_site_fract_y
_atom_site_fract_z
_atom_site_occupancy
Ba1 Ba 0.000 0.192 0.250 1
Tb1 Tb 0.000 0.500 0.000 1
Cu1 Cu 0.000 0.107 0.750 1
O1 O 0.000 0.109 0.535 1
O2 O 0.000 0.436 0.750 1
```

Top 6 peaks for 10° ≤ 2θ ≤ 80°, in order of falling intensity:
- 2.879 Å, I = 1000, hkl 1 3 0
- 3.581 Å, I = 907, hkl 0 2 2
- 2.754 Å, I = 801, hkl 1 1 2
- 1.706 Å, I = 495, hkl 1 3 4
- 1.941 Å, I = 377, hkl 1 5 2
- 2.726 Å, I = 348, hkl 1 3 1



Record 7
Ba3Cu2TcO9: simulated powder X-ray diffraction pattern (Cu Kα (weighted mean of Kα1 and Kα2)), based on a structure optimized by DFT (GGA-PBE).
Peak positions follow from Bragg's law for the DFT cell and can differ from measured ones.

```
data_Ba3Cu2TcO9
_chemical_formula_sum 'Ba3 Cu2 Tc1 O9'
_space_group_name_H-M_alt 'P -3 m 1'
_space_group_IT_number 164
_space_group_name_Hall '-P 3 2"'
_cell_length_a 5.7402
_cell_length_b 5.7402
_cell_length_c 7.1288
_cell_angle_alpha 90.00
_cell_angle_beta 90.00
_cell_angle_gamma 120.00
loop_
_atom_site_label
_atom_site_type_symbol
_atom_site_fract_x
_atom_site_fract_y
_atom_site_fract_z
_atom_site_occupancy
Ba1 Ba 0.0000 0.0000 0.0000 1
Ba2 Ba 0.3333 0.6667 0.6798 1
Cu1 Cu 0.3333 0.6667 0.1477 1
Tc1 Tc 0.0000 0.0000 0.5000 1
O1 O 0.0000 0.5000 0.0000 1
O2 O 0.1577 0.3154 0.3461 1
```

Top 6 peaks for 10° ≤ 2θ ≤ 80°, in order of falling intensity:
- 2.897 Å, I = 1000, hkl 0 1 2
- 2.870 Å, I = 994, hkl 1 1 0
- 2.039 Å, I = 628, hkl 2 0 2
- 1.662 Å, I = 383, hkl 1 2 2
- 1.657 Å, I = 193, hkl 3 0 0
- 1.435 Å, I = 189, hkl 2 2 0



Record 8
BaCuTe2O7: simulated powder X-ray diffraction pattern (Cu Kα (weighted mean of Kα1 and Kα2)), based on a structure optimized by DFT (GGA-PBE).
Peak positions follow from Bragg's law for the DFT cell and can differ from measured ones.

```
data_BaCuTe2O7
_chemical_formula_sum 'Ba4 Cu4 Te8 O28'
_space_group_name_H-M_alt 'A m a 2'
_space_group_IT_number 40
_space_group_name_Hall 'A 2 -2a'
_cell_length_a 5.553
_cell_length_b 15.954
_cell_length_c 7.304
_cell_angle_alpha 90.00
_cell_angle_beta 90.00
_cell_angle_gamma 90.00
loop_
_atom_site_label
_atom_site_type_symbol
_atom_site_fract_x
_atom_site_fract_y
_atom_site_fract_z
_atom_site_occupancy
Ba1 Ba 0.250 0.210 0.000 1
Cu1 Cu 0.250 0.131 0.509 1
Te1 Te 0.250 0.423 0.259 1
Te2 Te 0.250 0.428 0.756 1
O1 O 0.000 0.000 0.868 1
O2 O 0.002 0.344 0.189 1
O3 O 0.008 0.145 0.311 1
O4 O 0.250 0.367 0.501 1
O5 O 0.250 0.480 0.024 1
```

Top 6 peaks for 10° ≤ 2θ ≤ 80°, in order of falling intensity:
- 2.850 Å, I = 1000, hkl 1 2 2
- 3.240 Å, I = 971, hkl 1 4 0
- 3.321 Å, I = 451, hkl 0 2 2
- 2.777 Å, I = 385, hkl 2 0 0
- 3.400 Å, I = 354, hkl 1 3 1
- 2.130 Å, I = 324, hkl 2 2 2



Record 9
Ba2CuTeO6: simulated powder X-ray diffraction pattern (Cu Kα (weighted mean of Kα1 and Kα2)), based on a structure optimized by DFT (GGA-PBE).
Peak positions follow from Bragg's law for the DFT cell and can differ from measured ones.

```
data_Ba2CuTeO6
_chemical_formula_sum 'Ba8 Cu4 Te4 O24'
_space_group_name_H-M_alt 'C 1 2/m 1'
_space_group_IT_number 12
_space_group_name_Hall '-C 2y'
_cell_length_a 10.386
_cell_length_b 5.804
_cell_length_c 10.343
_cell_angle_alpha 90.00
_cell_angle_beta 108.42
_cell_angle_gamma 90.00
loop_
_atom_site_label
_atom_site_type_symbol
_atom_site_fract_x
_atom_site_fract_y
_atom_site_fract_z
_atom_site_occupancy
Ba1 Ba 0.128 0.000 0.373 1
Ba2 Ba 0.216 0.500 0.143 1
Cu1 Cu 0.092 0.500 0.783 1
Te1 Te 0.000 0.000 0.000 1
Te2 Te 0.000 0.500 0.500 1
O1 O 0.049 0.242 0.889 1
O2 O 0.103 0.271 0.634 1
O3 O 0.138 0.500 0.409 1
O4 O 0.185 0.000 0.124 1
```

Top 6 peaks for 10° ≤ 2θ ≤ 80°, in order of falling intensity:
- 2.971 Å, I = 1000, hkl 3 1 -1
- 2.902 Å, I = 369, hkl 0 2 0
- 3.251 Å, I = 301, hkl 1 1 2
- 2.556 Å, I = 200, hkl 1 1 3
- 1.688 Å, I = 188, hkl 3 3 -1
- 2.161 Å, I = 183, hkl 2 2 -3



Record 10
Ba3ThCu2O8: simulated powder X-ray diffraction pattern (Cu Kα (weighted mean of Kα1 and Kα2)), based on a structure optimized by DFT (GGA-PBE).
Peak positions follow from Bragg's law for the DFT cell and can differ from measured ones.

```
data_Ba3ThCu2O8
_chemical_formula_sum 'Ba3 Th1 Cu2 O8'
_space_group_name_H-M_alt 'P -3 m 1'
_space_group_IT_number 164
_space_group_name_Hall '-P 3 2"'
_cell_length_a 6.0644
_cell_length_b 6.0644
_cell_length_c 7.7557
_cell_angle_alpha 90.00
_cell_angle_beta 90.00
_cell_angle_gamma 120.00
loop_
_atom_site_label
_atom_site_type_symbol
_atom_site_fract_x
_atom_site_fract_y
_atom_site_fract_z
_atom_site_occupancy
Ba1 Ba 0.0000 0.0000 0.0000 1
Ba2 Ba 0.3333 0.6667 0.6489 1
Th1 Th 0.0000 0.0000 0.5000 1
Cu1 Cu 0.3333 0.6667 0.2003 1
O1 O 0.1718 0.3435 0.3241 1
O2 O 0.3333 0.6667 0.9710 1
```

Top 6 peaks for 10° ≤ 2θ ≤ 80°, in order of falling intensity:
- 3.032 Å, I = 1000, hkl 1 1 0
- 3.120 Å, I = 916, hkl 0 1 2
- 2.174 Å, I = 457, hkl 2 0 2
- 1.767 Å, I = 359, hkl 1 2 2
- 7.756 Å, I = 241, hkl 0 0 1
- 1.751 Å, I = 199, hkl 3 0 0



Record 11
BaYTiCuO5: simulated powder X-ray diffraction pattern (Cu Kα (weighted mean of Kα1 and Kα2)), based on a structure optimized by DFT (GGA-PBE).
Peak positions follow from Bragg's law for the DFT cell and can differ from measured ones.

```
data_BaYTiCuO5
_chemical_formula_sum 'Ba1 Y1 Ti1 Cu1 O5'
_space_group_name_H-M_alt 'P 4 m m'
_space_group_IT_number 99
_space_group_name_Hall 'P 4 -2'
_cell_length_a 3.920
_cell_length_b 3.920
_cell_length_c 8.028
_cell_angle_alpha 90.00
_cell_angle_beta 90.00
_cell_angle_gamma 90.00
loop_
_atom_site_label
_atom_site_type_symbol
_atom_site_fract_x
_atom_site_fract_y
_atom_site_fract_z
_atom_site_occupancy
Ba1 Ba 0.000 0.000 0.000 1
Y1 Y 0.000 0.000 0.437 1
Ti1 Ti 0.500 0.500 0.677 1
Cu1 Cu 0.500 0.500 0.265 1
O1 O 0.000 0.500 0.259 1
O2 O 0.000 0.500 0.620 1
O3 O 0.500 0.500 0.901 1
```

Top 6 peaks for 10° ≤ 2θ ≤ 80°, in order of falling intensity:
- 2.804 Å, I = 1000, hkl 1 0 2
- 2.772 Å, I = 459, hkl 1 1 0
- 1.606 Å, I = 389, hkl 2 1 2
- 1.960 Å, I = 338, hkl 2 0 0
- 2.281 Å, I = 157, hkl 1 1 2
- 2.210 Å, I = 150, hkl 1 0 3



What did the eleventh record say?
BaYTiCuO5: simulated powder X-ray diffraction pattern (Cu Kα (weighted mean of Kα1 and Kα2)), based on a structure optimized by DFT (GGA-PBE).
Peak positions follow from Bragg's law for the DFT cell and can differ from measured ones.

```
data_BaYTiCuO5
_chemical_formula_sum 'Ba1 Y1 Ti1 Cu1 O5'
_space_group_name_H-M_alt 'P 4 m m'
_space_group_IT_number 99
_space_group_name_Hall 'P 4 -2'
_cell_length_a 3.920
_cell_length_b 3.920
_cell_length_c 8.028
_cell_angle_alpha 90.00
_cell_angle_beta 90.00
_cell_angle_gamma 90.00
loop_
_atom_site_label
_atom_site_type_symbol
_atom_site_fract_x
_atom_site_fract_y
_atom_site_fract_z
_atom_site_occupancy
Ba1 Ba 0.000 0.000 0.000 1
Y1 Y 0.000 0.000 0.437 1
Ti1 Ti 0.500 0.500 0.677 1
Cu1 Cu 0.500 0.500 0.265 1
O1 O 0.000 0.500 0.259 1
O2 O 0.000 0.500 0.620 1
O3 O 0.500 0.500 0.901 1
```

Top 6 peaks for 10° ≤ 2θ ≤ 80°, in order of falling intensity:
- 2.804 Å, I = 1000, hkl 1 0 2
- 2.772 Å, I = 459, hkl 1 1 0
- 1.606 Å, I = 389, hkl 2 1 2
- 1.960 Å, I = 338, hkl 2 0 0
- 2.281 Å, I = 157, hkl 1 1 2
- 2.210 Å, I = 150, hkl 1 0 3



- What is the formula in the second record?
  Ba3SrY8Cu4O20